Diffraction record for HgH12I6. The powder X-ray diffraction pattern is calculated, not measured: it uses the PBE geometry in Alexandria and Cu Ka.
Kinematic intensities with the Lorentz-polarization factor, no thermal factor.

Largest 8 diffraction maxima, by angle, 15 to 90 degrees two-theta:
Position (°2θ), intensity
23.03, 100
26.63, 19
27.76, 58
37.23, 26
41.97, 16
44.24, 17
46.36, 25
47.07, 14

Structure:
Cell lengths 8.102, 8.102, 8.102 Å; angles 104.11, 104.11, 104.11 degrees
Positions (direct):
Hg1 0.000 0.000 0.000
H1 0.033 0.037 0.218
H2 0.037 0.218 0.033
H3 0.218 0.033 0.037
H4 0.281 0.655 0.634
H5 0.345 0.366 0.719
H6 0.366 0.719 0.345
H7 0.634 0.281 0.655
H8 0.655 0.634 0.281
H9 0.719 0.345 0.366
H10 0.782 0.967 0.963
H11 0.963 0.782 0.967
H12 0.967 0.963 0.782
I1 0.150 0.613 0.315
I2 0.315 0.150 0.613
I3 0.387 0.685 0.850
I4 0.613 0.315 0.150
I5 0.685 0.850 0.387
I6 0.850 0.387 0.685